Record 1
# Ta6NbW5
Computed powder diffraction line list, a wavelength of 1.5418 Å. Input: a cell relaxed with PBE.
Intensities are scaled so that the largest is 100.

The 6 most intense peaks (2θ from 10° to 80°), by angle:
d 5.892, intensity 1, (0 1 1)
d 2.301, intensity 100, (2 0 0)
d 1.629, intensity 6, (0 4 0)
d 1.626, intensity 12, (2 0 6)
d 1.329, intensity 24, (3 2 3)
d 1.328, intensity 12, (1 2 9)

Structure:
```
data_Ta6NbW5
_chemical_formula_sum 'Ta12 Nb2 W10'
_cell_length_a 4.603
_cell_length_b 6.517
_cell_length_c 13.791
_cell_angle_alpha 90.00
_cell_angle_beta 90.00
_cell_angle_gamma 90.00
_symmetry_space_group_name_H-M 'I m m m'
_symmetry_Int_Tables_number 71
_symmetry_space_group_name_Hall '-I 2 2'
loop_
_atom_site_label
_atom_site_type_symbol
_atom_site_fract_x
_atom_site_fract_y
_atom_site_fract_z
Ta1 Ta 0.000 0.247 0.000
Ta2 Ta 0.000 0.252 0.332
Nb1 Nb 0.000 0.000 0.500
W1 W 0.000 0.000 0.167
W2 W 0.000 0.500 0.166
W3 W 0.000 0.500 0.500
```


Record 2
# TmZn2Ag5
Computed powder diffraction line list, a wavelength of 1.5418 Å. Input: a cell relaxed with PBE.
Intensities are scaled so that the largest is 100.

The 6 most intense peaks (2θ from 10° to 80°), by angle:
d 2.553, intensity 100, (1 2 1)
d 2.440, intensity 66, (1 0 3)
d 2.239, intensity 77, (0 2 4)
d 2.097, intensity 26, (0 4 0)
d 1.590, intensity 24, (1 4 3)
d 1.348, intensity 28, (2 2 4)

Structure:
```
data_TmZn2Ag5
_chemical_formula_sum 'Tm2 Zn4 Ag10'
_cell_length_a 3.376
_cell_length_b 8.389
_cell_length_c 10.591
_cell_angle_alpha 90.00
_cell_angle_beta 90.00
_cell_angle_gamma 90.00
_symmetry_space_group_name_H-M 'I m m m'
_symmetry_Int_Tables_number 71
_symmetry_space_group_name_Hall '-I 2 2'
loop_
_atom_site_label
_atom_site_type_symbol
_atom_site_fract_x
_atom_site_fract_y
_atom_site_fract_z
Tm1 Tm 0.000 0.000 0.000
Zn1 Zn 0.000 0.500 0.257
Ag1 Ag 0.000 0.219 0.364
Ag2 Ag 0.000 0.500 0.000
```


Record 3
# AcY2Ho4
Computed powder diffraction line list, a wavelength of 1.5418 Å. Input: a cell relaxed with PBE.
Intensities are scaled so that the largest is 100.

The 6 most intense peaks (2θ from 10° to 80°), by angle:
d 2.998, intensity 21, (2 -2 0)
d 2.889, intensity 100, (0 1 -3)
d 2.870, intensity 45, (0 2 1)
d 2.765, intensity 43, (0 3 -2)
d 2.754, intensity 26, (2 0 1)
d 2.733, intensity 28, (-2 1 2)

Structure:
```
data_AcY2Ho4
_chemical_formula_sum 'Ac2 Y4 Ho8'
_cell_length_a 7.146
_cell_length_b 8.632
_cell_length_c 8.926
_cell_angle_alpha 114.34
_cell_angle_beta 101.32
_cell_angle_gamma 101.69
_symmetry_space_group_name_H-M 'P 1'
_symmetry_Int_Tables_number 1
loop_
_symmetry_equiv_pos_as_xyz
'x,y,z'
loop_
_atom_site_label
_atom_site_type_symbol
_atom_site_fract_x
_atom_site_fract_y
_atom_site_fract_z
Ac1 Ac 0.000 0.000 0.000
Ac2 Ac 0.412 0.455 0.160
Y1 Y 0.211 0.121 0.703
Y2 Y 0.329 0.719 0.573
Y3 Y 0.691 0.296 0.434
Y4 Y 0.913 0.458 0.166
Ho1 Ho 0.101 0.558 0.832
Ho2 Ho 0.190 0.297 0.439
Ho3 Ho 0.305 0.896 0.299
Ho4 Ho 0.504 0.998 0.002
Ho5 Ho 0.603 0.559 0.831
Ho6 Ho 0.709 0.120 0.705
Ho7 Ho 0.806 0.893 0.301
Ho8 Ho 0.830 0.716 0.569
```


Record 4
# Ca2La4Pb3O2
Computed powder diffraction line list, a wavelength of 1.5418 Å. Input: a cell relaxed with PBE.
Intensities are scaled so that the largest is 100.

The 6 most intense peaks (2θ from 10° to 80°), by angle:
d 4.896, intensity 35, (1 0 1)
d 3.604, intensity 33, (1 0 5)
d 3.101, intensity 20, (1 1 4)
d 2.738, intensity 100, (1 1 6)
d 2.492, intensity 50, (2 0 0)
d 1.482, intensity 32, (3 1 6)

Structure:
```
data_Ca2La4Pb3O2
_chemical_formula_sum 'Ca4 La8 Pb6 O4'
_cell_length_a 4.985
_cell_length_b 4.985
_cell_length_c 26.085
_cell_angle_alpha 90.00
_cell_angle_beta 90.00
_cell_angle_gamma 90.00
_symmetry_space_group_name_H-M 'I 4/m m m'
_symmetry_Int_Tables_number 139
_symmetry_space_group_name_Hall '-I 4 2'
loop_
_atom_site_label
_atom_site_type_symbol
_atom_site_fract_x
_atom_site_fract_y
_atom_site_fract_z
Ca1 Ca 0.000 0.000 0.198
La1 La 0.000 0.500 0.089
Pb1 Pb 0.000 0.000 0.323
Pb2 Pb 0.000 0.000 0.500
O1 O 0.000 0.000 0.103
```


Record 5
# TiS5I
Computed powder diffraction line list, a wavelength of 1.5418 Å. Input: a cell relaxed with PBE.
Intensities are scaled so that the largest is 100.

The 6 most intense peaks (2θ from 10° to 80°), by angle:
d 6.593, intensity 100, (0 0 1)
d 3.478, intensity 35, (2 0 1)
d 3.426, intensity 45, (0 2 0)
d 3.040, intensity 58, (0 2 1)
d 2.695, intensity 34, (3 1 -1)
d 2.292, intensity 25, (3 1 -2)

Structure:
```
data_TiS5I
_chemical_formula_sum 'Ti2 S10 I2'
_cell_length_a 9.178
_cell_length_b 6.851
_cell_length_c 6.682
_cell_angle_alpha 90.00
_cell_angle_beta 99.35
_cell_angle_gamma 90.00
_symmetry_space_group_name_H-M 'C 1 m 1'
_symmetry_Int_Tables_number 8
loop_
_symmetry_equiv_pos_as_xyz
'x,y,z'
'x,-y,z'
'x+1/2,y+1/2,z'
'x+1/2,-y+1/2,z'
loop_
_atom_site_label
_atom_site_type_symbol
_atom_site_fract_x
_atom_site_fract_y
_atom_site_fract_z
Ti1 Ti 0.000 0.000 0.000
S1 S 0.057 0.149 0.709
S2 S 0.203 0.000 0.262
S3 S 0.245 0.500 0.003
S4 S 0.360 0.500 0.287
I1 I 0.423 0.000 0.102
```